Entry 1:
Structure and computed XRD peak list of Li3Sb5 (a PBE-relaxed structure; Cu Kα, 1.54184 Å).
Intensities are scaled so that the largest is 1000.

Top 6 peaks for 10° ≤ 2θ ≤ 90°, sorted by position:
hkl, two_theta, d [Å], I_rel
1 1 1, 22.78, 3.904, 601
2 0 1, 27.54, 3.239, 433
1 3 0, 31.72, 2.821, 319
2 2 1, 34.13, 2.627, 1000
0 0 2, 35.54, 2.526, 345
0 4 1, 44.16, 2.051, 332

Structure:
Unit cell a=8.441 b=8.980 c=5.052 alpha=90.00 beta=90.00 gamma=90.00
Space group Cmmm (No. 65)
Inequivalent atoms, fractional coordinates:
Li 0.000 0.000 0.000 [2 per cell]
Li 0.186 0.500 0.500 [4 per cell]
Sb 0.000 0.168 0.500 [4 per cell]
Sb 0.000 0.500 0.000 [2 per cell]
Sb 0.250 0.250 0.000 [4 per cell]

---

Entry 2:
Structure and computed XRD peak list of PrNd2Ho2Er2 (a PBE-relaxed structure; Cu Kα, 1.54184 Å).
Intensities are scaled so that the largest is 1000.

Top 6 peaks for 10° ≤ 2θ ≤ 90°, sorted by position:
hkl, two_theta, d [Å], I_rel
1 1 2, 30.96, 2.889, 849
0 1 7, 31.27, 2.860, 1000
1 0 5, 31.83, 2.811, 380
0 2 0, 32.01, 2.796, 481
0 3 7, 56.58, 1.627, 323
2 1 7, 61.84, 1.500, 286

Structure:
Unit cell a=3.525 b=5.592 c=23.301 alpha=90.00 beta=90.00 gamma=90.00
Space group Immm (No. 71)
Inequivalent atoms, fractional coordinates:
Pr 0.000 0.000 0.000 [2 per cell]
Nd 0.000 0.000 0.428 [4 per cell]
Ho 0.000 0.500 0.209 [4 per cell]
Er 0.000 0.500 0.354 [4 per cell]

---

Entry 3:
Structure and computed XRD peak list of KCa2AlCl8 (a PBE-relaxed structure; Cu Kα, 1.54184 Å).
Intensities are scaled so that the largest is 1000.

Top 6 peaks for 10° ≤ 2θ ≤ 90°, sorted by position:
hkl, two_theta, d [Å], I_rel
1 0 -1, 19.81, 4.482, 710
1 0 1, 20.30, 4.375, 706
1 2 -1, 28.98, 3.081, 1000
1 2 1, 29.33, 3.045, 570
2 2 -1, 38.52, 2.337, 581
2 2 1, 39.04, 2.307, 584

Structure:
Unit cell a=6.170 b=8.482 c=6.361 alpha=90.00 beta=91.38 gamma=90.00
Space group P2/m (No. 10)
Inequivalent atoms, fractional coordinates:
K 0.000 0.000 0.000 [1 per cell]
Ca 0.500 0.257 0.500 [2 per cell]
Al 0.000 0.500 0.000 [1 per cell]
Cl 0.209 0.306 0.162 [4 per cell]
Cl 0.253 0.500 0.699 [2 per cell]
Cl 0.279 0.000 0.633 [2 per cell]

---

Entry 4:
Structure and computed XRD peak list of La3Tb8Th (a PBE-relaxed structure; Cu Kα, 1.54184 Å).
Intensities are scaled so that the largest is 1000.

Top 6 peaks for 10° ≤ 2θ ≤ 90°, sorted by position:
hkl, two_theta, d [Å], I_rel
1 2 3, 30.98, 2.887, 1000
0 4 0, 31.17, 2.870, 568
2 2 0, 31.80, 2.814, 406
2 2 2, 35.39, 2.536, 513
3 2 3, 51.00, 1.791, 250
2 4 6, 64.57, 1.443, 273

Structure:
Unit cell a=6.457 b=11.478 c=11.708 alpha=90.00 beta=90.00 gamma=90.00
Space group Immm (No. 71)
Inequivalent atoms, fractional coordinates:
La 0.000 0.000 0.000 [2 per cell]
La 0.000 0.237 0.500 [4 per cell]
Tb 0.000 0.252 0.172 [8 per cell]
Tb 0.250 0.000 0.252 [8 per cell]
Th 0.000 0.500 0.000 [2 per cell]

---

Entry 5:
Structure and computed XRD peak list of Ac6Hg5Au (a PBE-relaxed structure; Cu Kα, 1.54184 Å).
Intensities are scaled so that the largest is 1000.

Top 6 peaks for 10° ≤ 2θ ≤ 90°, sorted by position:
hkl, two_theta, d [Å], I_rel
2 0 0, 31.46, 2.843, 1000
2 0 6, 45.14, 2.008, 124
3 2 3, 55.98, 1.643, 268
1 2 9, 56.09, 1.640, 128
4 0 0, 65.64, 1.422, 103
4 0 6, 74.69, 1.271, 85

Structure:
Unit cell a=5.687 b=8.060 c=17.024 alpha=90.00 beta=90.00 gamma=90.00
Space group Immm (No. 71)
Inequivalent atoms, fractional coordinates:
Ac 0.000 0.241 0.000 [4 per cell]
Ac 0.000 0.256 0.338 [8 per cell]
Hg 0.000 0.000 0.175 [4 per cell]
Hg 0.000 0.000 0.500 [2 per cell]
Hg 0.000 0.500 0.167 [4 per cell]
Au 0.000 0.500 0.500 [2 per cell]

---

Entry 6:
Structure and computed XRD peak list of Nd2Pt5Au5 (a PBE-relaxed structure; Cu Kα, 1.54184 Å).
Intensities are scaled so that the largest is 1000.

Top 6 peaks for 10° ≤ 2θ ≤ 90°, sorted by position:
hkl, two_theta, d [Å], I_rel
0 0 2, 18.58, 4.776, 327
0 0 4, 37.67, 2.388, 264
1 1 3, 38.14, 2.359, 1000
2 0 0, 39.55, 2.278, 352
1 2 2, 42.74, 2.116, 542
2 2 6, 81.67, 1.179, 176

Structure:
Unit cell a=4.557 b=5.525 c=9.538 alpha=90.00 beta=90.00 gamma=90.00
Space group Pmmm (No. 47)
Inequivalent atoms, fractional coordinates:
Nd 0.000 0.000 0.000 [1 per cell]
Nd 0.000 0.500 0.500 [1 per cell]
Pt 0.500 0.000 0.500 [1 per cell]
Pt 0.500 0.250 0.253 [4 per cell]
Au 0.000 0.000 0.331 [2 per cell]
Au 0.000 0.500 0.172 [2 per cell]
Au 0.500 0.500 0.000 [1 per cell]

---

Entry 7:
Structure and computed XRD peak list of LiScCr3 (a PBE-relaxed structure; Cu Kα, 1.54184 Å).
Intensities are scaled so that the largest is 1000.

Top 6 peaks for 10° ≤ 2θ ≤ 90°, sorted by position:
hkl, two_theta, d [Å], I_rel
1 0 0, 20.39, 4.356, 16
1 1 1, 35.70, 2.515, 1000
2 0 0, 41.45, 2.178, 527
2 2 0, 60.07, 1.540, 312
3 1 1, 71.88, 1.314, 309
2 2 2, 75.62, 1.258, 98

Structure:
Unit cell a=4.356 b=4.356 c=4.356 alpha=90.00 beta=90.00 gamma=90.00
Space group Pm-3m (No. 221)
Inequivalent atoms, fractional coordinates:
Li 0.000 0.000 0.000 [1 per cell]
Sc 0.500 0.500 0.500 [1 per cell]
Cr 0.000 0.000 0.500 [3 per cell]

---

Entry 8:
Structure and computed XRD peak list of Cs7Ag2Au2 (a PBE-relaxed structure; Cu Kα, 1.54184 Å).
Intensities are scaled so that the largest is 1000.

Top 6 peaks for 10° ≤ 2θ ≤ 90°, sorted by position:
hkl, two_theta, d [Å], I_rel
1 1 2, 23.06, 3.857, 290
1 4 1, 26.23, 3.397, 1000
1 3 2, 26.54, 3.358, 238
1 2 3, 29.61, 3.017, 359
0 6 2, 31.54, 2.836, 181
2 0 0, 34.42, 2.605, 244

Structure:
Unit cell a=5.211 b=19.303 c=12.018 alpha=90.00 beta=90.00 gamma=90.00
Space group Imm2 (No. 44)
Inequivalent atoms, fractional coordinates:
Cs 0.000 0.000 0.000 [2 per cell]
Cs 0.000 0.113 0.412 [4 per cell]
Cs 0.000 0.313 0.620 [4 per cell]
Cs 0.000 0.362 0.243 [4 per cell]
Ag 0.000 0.000 0.677 [2 per cell]
Ag 0.000 0.500 0.738 [2 per cell]
Au 0.000 0.240 0.918 [4 per cell]

---

Entry 9:
Structure and computed XRD peak list of Cu2S3O12 (a PBE-relaxed structure; Cu Kα, 1.54184 Å).
Intensities are scaled so that the largest is 1000.

Top 6 peaks for 10° ≤ 2θ ≤ 90°, sorted by position:
hkl, two_theta, d [Å], I_rel
0 1 2, 14.74, 6.009, 697
1 0 4, 20.12, 4.414, 646
1 1 0, 21.67, 4.101, 232
2 -1 3, 24.73, 3.600, 1000
0 2 4, 29.74, 3.005, 483
1 1 6, 32.32, 2.770, 770

Structure:
Unit cell a=8.2026 b=8.2026 c=22.5336 alpha=90.00 beta=90.00 gamma=120.00
Space group R-3 (No. 148, hexagonal axes)
Inequivalent atoms, fractional coordinates:
Cu 0.0000 0.0000 0.1462 [6 per cell]
Cu 0.0000 0.0000 0.3441 [6 per cell]
S 0.0009 0.7080 0.2501 [18 per cell]
O 0.0139 0.7960 0.1915 [18 per cell]
O 0.0476 0.2143 0.0889 [18 per cell]
O 0.0899 0.2294 0.3992 [18 per cell]
O 0.0931 0.2335 0.7045 [18 per cell]

---

Entry 10:
Structure and computed XRD peak list of CsNa2WS4 (a PBE-relaxed structure; Cu Kα, 1.54184 Å).
Intensities are scaled so that the largest is 1000.

Top 6 peaks for 10° ≤ 2θ ≤ 90°, sorted by position:
hkl, two_theta, d [Å], I_rel
1 1 0, 17.17, 5.164, 832
2 0 0, 24.38, 3.651, 328
1 1 2, 26.26, 3.394, 1000
2 0 2, 31.54, 2.836, 362
2 2 0, 34.75, 2.582, 296
3 1 2, 44.07, 2.055, 504

Structure:
Unit cell a=7.303 b=7.303 c=9.008 alpha=90.00 beta=90.00 gamma=90.00
Space group I-42m (No. 121)
Inequivalent atoms, fractional coordinates:
Cs 0.000 0.000 0.000 [2 per cell]
Na 0.000 0.500 0.250 [4 per cell]
W 0.000 0.000 0.500 [2 per cell]
S 0.178 0.178 0.645 [8 per cell]

---

Entry 11:
Structure and computed XRD peak list of ErCu4Si2 (a PBE-relaxed structure; Cu Kα, 1.54184 Å).
Intensities are scaled so that the largest is 1000.

Top 6 peaks for 10° ≤ 2θ ≤ 90°, sorted by position:
hkl, two_theta, d [Å], I_rel
1 1 0, 23.41, 3.799, 134
0 2 1, 26.28, 3.391, 156
1 3 0, 30.57, 2.924, 162
0 4 1, 35.74, 2.512, 142
1 3 1, 38.19, 2.357, 1000
2 0 0, 45.62, 1.989, 432

Structure:
Unit cell a=3.974 b=12.955 c=3.980 alpha=90.00 beta=90.00 gamma=90.00
Space group Cmmm (No. 65)
Inequivalent atoms, fractional coordinates:
Er 0.000 0.000 0.000 [2 per cell]
Cu 0.000 0.187 0.500 [4 per cell]
Cu 0.000 0.314 0.000 [4 per cell]
Si 0.000 0.408 0.500 [4 per cell]

---

Entry 12:
Structure and computed XRD peak list of SrZnGe2O6 (a PBE-relaxed structure; Cu Kα, 1.54184 Å).
Intensities are scaled so that the largest is 1000.

Top 6 peaks for 10° ≤ 2θ ≤ 90°, sorted by position:
hkl, two_theta, d [Å], I_rel
2 2 0, 24.86, 3.582, 528
2 2 -1, 25.88, 3.442, 1000
3 1 0, 28.62, 3.119, 793
1 3 -1, 29.91, 2.988, 340
0 0 2, 32.72, 2.737, 400
1 3 1, 33.38, 2.685, 577

Structure:
Unit cell a=10.512 b=10.495 c=5.870 alpha=90.00 beta=111.19 gamma=90.00
Space group C2/c (No. 15)
Inequivalent atoms, fractional coordinates:
Sr 0.000 0.116 0.250 [4 per cell]
Zn 0.000 0.231 0.750 [4 per cell]
Ge 0.195 0.421 0.183 [8 per cell]
O 0.110 0.278 0.078 [8 per cell]
O 0.124 0.089 0.694 [8 per cell]
O 0.148 0.463 0.441 [8 per cell]